No. 1
# Li7Mn2Co3O12
Theoretical powder diffraction line list, Cu Kα, 1.54184 Å. Input: DFT lattice parameters and positions (GGA+U).
Intensities are scaled so that the largest is 100.

Crystal structure
Cell lengths 2.9800, 7.7878, 10.1076 Å; angles 111.20, 91.42, 97.79 degrees
Element x y z (fractional)
Li 0.0000 0.0000 0.0000
Li 0.0119 0.9963 0.4865
Li 0.3392 0.6585 0.8264
Li 0.3594 0.6769 0.3280
Li 0.4893 0.9914 0.2528
Li 0.6444 0.3263 0.1735
Li 0.6766 0.3302 0.6577
Mn 0.1816 0.3265 0.9099
Mn 0.8604 0.6751 0.0838
Co 0.1632 0.3175 0.4072
Co 0.4882 0.9913 0.7442
Co 0.8255 0.6618 0.5746
O 0.0983 0.1865 0.2241
O 0.1032 0.1538 0.7127
O 0.2532 0.4901 0.6023
O 0.3025 0.5132 0.1079
O 0.3990 0.8294 0.5485
O 0.4075 0.8113 0.0425
O 0.5541 0.1570 0.9459
O 0.5692 0.1783 0.4515
O 0.7893 0.4951 0.3810
O 0.8035 0.4958 0.8786
O 0.8687 0.8261 0.7756
O 0.9183 0.8172 0.2738

Principal peaks in the range 15° ≤ 2θ ≤ 90°, by angle:
- 18.37°, d 4.828, rel. 100.0
- 34.69°, d 2.586, rel. 17.9
- 36.36°, d 2.471, rel. 12.3
- 36.71°, d 2.448, rel. 11.0
- 37.29°, d 2.412, rel. 7.2
- 41.64°, d 2.169, rel. 33.3
- 44.14°, d 2.052, rel. 27.9
- 44.82°, d 2.022, rel. 26.1
- 62.16°, d 1.493, rel. 8.0
- 62.42°, d 1.488, rel. 8.1
- 62.83°, d 1.479, rel. 15.4
- 64.21°, d 1.451, rel. 7.3

***

No. 2
# Li7Mn2Co3O12
Theoretical powder diffraction line list, Cu Kα, 1.54184 Å. Input: DFT lattice parameters and positions (GGA+U).
Intensities are scaled so that the largest is 100.

Crystal structure
Cell lengths 5.8160, 2.8850, 12.7750 Å; angles 90.00, 102.48, 90.00 degrees
Element x y z (fractional)
Li 0.0000 0.0000 0.0000
Li 0.0070 0.5000 0.5025
Li 0.1655 0.5000 0.8318
Li 0.3271 0.0000 0.6496
Li 0.5127 0.5000 0.5036
Li 0.6930 0.0000 0.3563
Li 0.8493 0.5000 0.1810
Mn 0.5062 0.0000 0.0145
Mn 0.8388 0.0000 0.6638
Co 0.1749 0.0000 0.3449
Co 0.3397 0.5000 0.1802
Co 0.6686 0.5000 0.8388
O 0.0674 0.5000 0.6701
O 0.1235 0.0000 0.1872
O 0.2552 0.0000 0.4869
O 0.2764 0.5000 0.0230
O 0.3959 0.5000 0.3326
O 0.4312 0.0000 0.8622
O 0.5627 0.0000 0.1730
O 0.6091 0.5000 0.6694
O 0.7369 0.5000 0.0181
O 0.7655 0.0000 0.5162
O 0.9070 0.0000 0.8293
O 0.9573 0.5000 0.3389

Principal peaks in the range 15° ≤ 2θ ≤ 90°, by angle:
- 15.65°, d 5.663, rel. 11.4
- 18.51°, d 4.792, rel. 100.0
- 36.05°, d 2.491, rel. 13.9
- 36.46°, d 2.464, rel. 25.7
- 37.96°, d 2.370, rel. 9.7
- 43.54°, d 2.079, rel. 26.0
- 44.22°, d 2.048, rel. 54.3
- 58.30°, d 1.583, rel. 9.3
- 63.50°, d 1.465, rel. 13.8
- 64.07°, d 1.453, rel. 20.3
- 64.61°, d 1.442, rel. 7.5
- 81.16°, d 1.185, rel. 9.0

***

No. 3
# Li3MnCoO5
Theoretical powder diffraction line list, Cu Kα, 1.54184 Å. Input: DFT lattice parameters and positions (GGA+U).
Intensities are scaled so that the largest is 100.

Crystal structure
Cell lengths 7.6863, 7.6863, 5.1210 Å; angles 96.46, 96.46, 141.39 degrees
Element x y z (fractional)
Li 0.0000 0.0000 0.0000
Li 0.0971 0.9029 0.5000
Li 0.3012 0.6988 0.5000
Li 0.5000 0.5000 0.5000
Li 0.6988 0.3012 0.5000
Li 0.9029 0.0971 0.5000
Mn 0.4015 0.5985 0.0000
Mn 0.5985 0.4015 0.0000
Co 0.1959 0.8041 0.0000
Co 0.8041 0.1959 0.0000
O 0.0710 0.4618 0.7732
O 0.1537 0.3626 0.2233
O 0.2797 0.2797 0.7721
O 0.3626 0.1537 0.2233
O 0.4618 0.0710 0.7732
O 0.5382 0.9290 0.2268
O 0.6374 0.8463 0.7767
O 0.7203 0.7203 0.2279
O 0.8463 0.6374 0.7767
O 0.9290 0.5382 0.2268

Principal peaks in the range 15° ≤ 2θ ≤ 90°, by angle:
- 18.42°, d 4.815, rel. 100.0
- 19.56°, d 4.539, rel. 9.7
- 22.15°, d 4.012, rel. 11.9
- 35.82°, d 2.507, rel. 16.3
- 36.22°, d 2.480, rel. 25.5
- 43.33°, d 2.088, rel. 30.3
- 43.92°, d 2.062, rel. 58.4
- 47.78°, d 1.904, rel. 8.5
- 57.90°, d 1.593, rel. 10.2
- 63.20°, d 1.471, rel. 16.3
- 63.57°, d 1.464, rel. 23.5
- 64.20°, d 1.451, rel. 7.6

***

No. 4
# Li7Mn2Co3O12
Theoretical powder diffraction line list, Cu Kα, 1.54184 Å. Input: DFT lattice parameters and positions (GGA+U).
Intensities are scaled so that the largest is 100.

Crystal structure
Cell lengths 7.7799, 7.7799, 9.8276 Å; angles 100.01, 100.01, 21.50 degrees
Element x y z (fractional)
Li 0.0000 0.0000 0.0000
Li 0.0821 0.0821 0.7516
Li 0.2481 0.2481 0.2566
Li 0.4256 0.4256 0.7570
Li 0.5744 0.5744 0.2430
Li 0.7519 0.7519 0.7434
Li 0.9179 0.9179 0.2484
Mn 0.3382 0.3382 0.0035
Mn 0.6618 0.6618 0.9965
Co 0.1661 0.1661 0.4972
Co 0.5000 0.5000 0.5000
Co 0.8339 0.8339 0.5028
O 0.0405 0.0405 0.3806
O 0.1317 0.1317 0.1101
O 0.2100 0.2100 0.8933
O 0.2930 0.2930 0.6172
O 0.3727 0.3727 0.3875
O 0.4461 0.4461 0.1171
O 0.5539 0.5539 0.8829
O 0.6273 0.6273 0.6125
O 0.7070 0.7070 0.3828
O 0.7900 0.7900 0.1067
O 0.8683 0.8683 0.8899
O 0.9595 0.9595 0.6194

Principal peaks in the range 15° ≤ 2θ ≤ 90°, by angle:
- 18.34°, d 4.836, rel. 100.0
- 35.80°, d 2.508, rel. 15.9
- 36.13°, d 2.486, rel. 26.8
- 43.49°, d 2.081, rel. 28.9
- 43.67°, d 2.073, rel. 57.9
- 47.83°, d 1.902, rel. 8.8
- 57.47°, d 1.603, rel. 14.1
- 62.76°, d 1.480, rel. 7.7
- 63.21°, d 1.471, rel. 15.4
- 63.46°, d 1.466, rel. 15.4
- 64.18°, d 1.451, rel. 8.3
- 80.73°, d 1.190, rel. 6.9

***

No. 5
# Li7Mn2Co3O12
Theoretical powder diffraction line list, Cu Kα, 1.54184 Å. Input: DFT lattice parameters and positions (GGA+U).
Intensities are scaled so that the largest is 100.

Crystal structure
Cell lengths 5.1011, 5.1011, 15.3263 Å; angles 98.79, 98.79, 32.73 degrees
Element x y z (fractional)
Li 0.0000 0.0000 0.0000
Li 0.0003 0.0003 0.3299
Li 0.0289 0.0289 0.6830
Li 0.5037 0.5037 0.1671
Li 0.5057 0.5057 0.8284
Li 0.5087 0.5087 0.5135
Li 0.7593 0.7593 0.7553
Mn 0.2517 0.2517 0.9156
Mn 0.7492 0.7492 0.4158
Co 0.2516 0.2516 0.2515
Co 0.2728 0.2728 0.6033
Co 0.7551 0.7551 0.0881
O 0.1363 0.1363 0.4476
O 0.1407 0.1407 0.1353
O 0.1412 0.1412 0.8082
O 0.3577 0.3577 0.3713
O 0.3695 0.3695 0.0422
O 0.3884 0.3884 0.7047
O 0.6432 0.6432 0.2932
O 0.6439 0.6439 0.9624
O 0.6452 0.6452 0.6233
O 0.8609 0.8609 0.5286
O 0.8627 0.8627 0.2143
O 0.8658 0.8658 0.8849

Principal peaks in the range 15° ≤ 2θ ≤ 90°, by angle:
- 18.36°, d 4.832, rel. 100.0
- 35.60°, d 2.522, rel. 11.5
- 36.44°, d 2.466, rel. 24.6
- 37.91°, d 2.373, rel. 5.9
- 43.02°, d 2.102, rel. 25.0
- 44.09°, d 2.054, rel. 53.4
- 47.81°, d 1.903, rel. 12.2
- 57.99°, d 1.590, rel. 8.7
- 63.10°, d 1.473, rel. 12.7
- 63.37°, d 1.468, rel. 7.0
- 63.50°, d 1.465, rel. 12.7
- 64.87°, d 1.437, rel. 7.1

***

No. 6
# Li2MnCoO4
Theoretical powder diffraction line list, Cu Kα, 1.54184 Å. Input: DFT lattice parameters and positions (GGA+U).
Intensities are scaled so that the largest is 100.

Crystal structure
Cell lengths 2.9701, 6.6359, 7.8047 Å; angles 90.30, 96.91, 102.76 degrees
Element x y z (fractional)
Li 0.0000 0.0000 0.0000
Li 0.0000 0.5000 0.5000
Li 0.4870 0.2476 0.7451
Li 0.5130 0.7524 0.2549
Mn 0.2367 0.6226 0.8710
Mn 0.7633 0.3774 0.1290
Co 0.2527 0.1267 0.3783
Co 0.7473 0.8733 0.6217
O 0.1154 0.3285 0.9436
O 0.1283 0.8239 0.4458
O 0.3678 0.9186 0.8053
O 0.3996 0.4311 0.3057
O 0.6004 0.5689 0.6943
O 0.6322 0.0814 0.1947
O 0.8717 0.1761 0.5542
O 0.8846 0.6715 0.0564

Principal peaks in the range 15° ≤ 2θ ≤ 90°, by angle:
- 18.16°, d 4.886, rel. 100.0
- 34.44°, d 2.604, rel. 18.1
- 35.58°, d 2.523, rel. 13.8
- 36.54°, d 2.459, rel. 12.0
- 41.39°, d 2.182, rel. 30.6
- 43.18°, d 2.095, rel. 26.4
- 44.52°, d 2.035, rel. 23.8
- 61.20°, d 1.514, rel. 8.0
- 61.50°, d 1.508, rel. 7.7
- 62.08°, d 1.495, rel. 7.4
- 62.72°, d 1.481, rel. 7.2
- 64.28°, d 1.449, rel. 6.8